For La11Sn10, a DFT-relaxed cell (GGA-PBE, the Materials Project) gives the computed PXRD pattern in this record (Cu Kα X-rays).
Neutral-atom scattering factors, no anomalous dispersion.

Atomic structure:
abc: 12.610 12.610 12.610
angles: 122.09 122.09 86.41
Positions (direct):
La (0.058, 0.310, 0.749)
La (0.102, 0.425, 0.323)
La (0.102, 0.780, 0.677)
La (0.161, 0.161, 0.000)
La (0.220, 0.898, 0.323)
La (0.310, 0.058, 0.749)
La (0.310, 0.561, 0.251)
La (0.322, 0.322, 0.643)
La (0.322, 0.678, 0.000)
La (0.425, 0.102, 0.323)
La (0.439, 0.690, 0.749)
La (0.561, 0.310, 0.251)
La (0.575, 0.898, 0.677)
La (0.678, 0.322, 0.000)
La (0.678, 0.678, 0.357)
La (0.690, 0.439, 0.749)
La (0.690, 0.942, 0.251)
La (0.780, 0.102, 0.677)
La (0.839, 0.839, 0.000)
La (0.898, 0.220, 0.323)
La (0.898, 0.575, 0.677)
La (0.942, 0.690, 0.251)
Sn (0.030, 0.030, 0.420)
Sn (0.030, 0.610, 0.000)
Sn (0.122, 0.122, 0.245)
Sn (0.122, 0.878, 0.000)
Sn (0.136, 0.500, 0.636)
Sn (0.250, 0.750, 0.500)
Sn (0.390, 0.390, 0.420)
Sn (0.390, 0.970, 0.000)
Sn (0.393, 0.393, 0.000)
Sn (0.500, 0.136, 0.636)
Sn (0.500, 0.864, 0.364)
Sn (0.607, 0.607, 0.000)
Sn (0.610, 0.030, 0.000)
Sn (0.610, 0.610, 0.580)
Sn (0.750, 0.250, 0.500)
Sn (0.864, 0.500, 0.364)
Sn (0.878, 0.122, 0.000)
Sn (0.878, 0.878, 0.755)
Sn (0.970, 0.390, 0.000)
Sn (0.970, 0.970, 0.580)

Top 12 peaks for 2θ from 5° to 70°, by angle:
d 3.064, I 13
d 3.050, I 84
d 2.961, I 100
d 2.897, I 36
d 2.878, I 42
d 2.743, I 26
d 2.728, I 36
d 2.268, I 22
d 2.035, I 16
d 1.837, I 15
d 1.692, I 13
d 1.526, I 19